For KPb2Cl5, a crystal structure in Alexandria, relaxed with PBE gives the calculated powder diffraction line list in this record (Cu Kα (λ = 1.5418 Å)).
No peak broadening, texture or thermal motion is included.

Most intense lines, 10 to 90 degrees two-theta, low angle first:
hkl 1 1 1, 2θ = 16.19°, d = 5.474 Å, I 56; hkl 0 2 0, 2θ = 21.55°, d = 4.124 Å, I 28; hkl 3 1 0, 2θ = 23.64°, d = 3.764 Å, I 100; hkl 2 0 2, 2θ = 24.33°, d = 3.659 Å, I 45; hkl 2 2 2, 2θ = 32.72°, d = 2.737 Å, I 55; hkl 4 0 2, 2θ = 34.61°, d = 2.592 Å, I 21; hkl 2 3 1, 2θ = 37.01°, d = 2.429 Å, I 22; hkl 0 0 4, 2θ = 40.33°, d = 2.236 Å, I 20; hkl 5 1 2, 2θ = 42.32°, d = 2.136 Å, I 36; hkl 3 1 4, 2θ = 47.23°, d = 1.924 Å, I 33

```
data_KPb2Cl5
_chemical_formula_sum 'K4 Pb8 Cl20'
_cell_length_a 12.7192
_cell_length_b 8.2486
_cell_length_c 8.9463
_cell_angle_alpha 90.00
_cell_angle_beta 90.00
_cell_angle_gamma 90.00
_space_group_name_H-M_alt 'P n a 21'
_space_group_IT_number 33
loop_
_space_group_symop_operation_xyz
'x,y,z'
'-x,-y,z+1/2'
'-x+1/2,y+1/2,z+1/2'
'x+1/2,-y+1/2,z'
loop_
_atom_site_label
_atom_site_type_symbol
_atom_site_fract_x
_atom_site_fract_y
_atom_site_fract_z
_atom_site_occupancy
K1 K 0.1705 0.0234 0.0000 1
Pb1 Pb 0.9997 0.4180 0.7437 1
Pb2 Pb 0.1864 0.9898 0.5148 1
Cl1 Cl 0.0075 0.0543 0.7332 1
Cl2 Cl 0.0917 0.6732 0.5308 1
Cl3 Cl 0.1007 0.6499 0.9553 1
Cl4 Cl 0.1883 0.3524 0.2295 1
Cl5 Cl 0.2224 0.3157 0.7593 1
```